No. 1
For MnCoO3, the PBE+U geometry in the Materials Project gives the simulated XRD peak list in this record (CuKα).
Lines closer than 0.1° are merged.

Top 8 peaks for 2θ = 5–70°, sorted by position:
| h k l | 2theta | Rel. int. |
| --- | --- | --- |
| 0 1 2 | 24.18 | 43 |
| 1 0 4 | 33.04 | 100 |
| 1 1 0 | 35.84 | 85 |
| 1 1 3 | 40.96 | 20 |
| 0 2 4 | 49.54 | 38 |
| 2 -1 6 | 53.93 | 61 |
| 3 -1 4 | 62.64 | 33 |
| 3 0 0 | 64.41 | 35 |

Atomic structure:
Unit cell a=5.0106 b=5.0106 c=13.8895 alpha=90.00 beta=90.00 gamma=120.00
Space group R-3 (No. 148, hexagonal axes)
One atom of each set of equivalent atoms:
Mn 0.0000 0.0000 0.1576 x6
Co 0.0000 0.0000 0.3604 x6
O 0.0182 0.6463 0.4221 x18



No. 2
For NaMgFeS2O8, the PBE+U geometry in the Materials Project gives the simulated XRD peak list in this record (CuKα).
Lines closer than 0.1° are merged.

Top 8 peaks for 2θ = 5–70°, sorted by position:
| h k l | 2theta | Rel. int. |
| --- | --- | --- |
| 0 0 1 | 13.88 | 35 |
| 1 0 -1 | 23.48 | 92 |
| 1 1 1 | 24.20 | 68 |
| 1 -1 0 | 30.60 | 88 |
| 0 1 2 | 33.09 | 90 |
| 1 0 -2 | 34.23 | 88 |
| 2 1 0 | 34.83 | 100 |
| 3 0 0 | 57.16 | 35 |

Atomic structure:
Unit cell a=5.2077 b=5.2107 c=6.3923 alpha=86.96 beta=87.02 gamma=68.22
Space group P1 (No. 1)
One atom of each set of equivalent atoms:
Na 0.0000 0.0000 0.0000 x1
Mg 0.3252 0.3232 0.2905 x1
Fe 0.0074 0.0073 0.5207 x1
S 0.3717 0.3726 0.7771 x1
S 0.6404 0.6417 0.2672 x1
O 0.2558 0.6770 0.7604 x1
O 0.2606 0.2621 0.6008 x1
O 0.2758 0.2769 0.9838 x1
O 0.3227 0.7294 0.2808 x1
O 0.6762 0.2565 0.7606 x1
O 0.7290 0.7311 0.0666 x1
O 0.7308 0.3238 0.2812 x1
O 0.7389 0.7423 0.4449 x1



No. 3
For Li3VPCO7, the PBE+U geometry in the Materials Project gives the simulated XRD peak list in this record (CuKα).
Lines closer than 0.1° are merged.

Top 8 peaks for 2θ = 5–70°, sorted by position:
| h k l | 2theta | Rel. int. |
| --- | --- | --- |
| 0 0 1 | 10.24 | 27 |
| 0 1 1 | 17.03 | 100 |
| 1 1 0 | 22.68 | 32 |
| 1 1 -1 | 24.73 | 57 |
| 1 1 1 | 25.15 | 54 |
| 0 2 2 | 34.46 | 85 |
| 2 0 0 | 36.63 | 33 |
| 0 2 4 | 50.73 | 31 |

Atomic structure:
Unit cell a=4.9085 b=6.5236 c=8.6379 alpha=90.00 beta=91.56 gamma=90.00
Space group P2_1 (No. 4)
One atom of each set of equivalent atoms:
Li 0.2103 0.0000 0.1967 x2
Li 0.2280 0.2176 0.8675 x2
Li 0.2751 0.6600 0.6173 x2
V 0.2372 0.4686 0.2543 x2
P 0.2886 0.7155 0.9194 x2
C 0.2348 0.1578 0.5378 x2
O 0.0249 0.6372 0.4399 x2
O 0.1585 0.9002 0.8341 x2
O 0.1982 0.5223 0.8263 x2
O 0.2056 0.7165 0.0923 x2
O 0.3156 0.1864 0.3944 x2
O 0.3942 0.2370 0.0855 x2
O 0.4123 0.1545 0.6489 x2



No. 4
For TaZn2MoO6, the PBE+U geometry in the Materials Project gives the simulated XRD peak list in this record (CuKα).
Lines closer than 0.1° are merged.

Top 8 peaks for 2θ = 5–70°, sorted by position:
| h k l | 2theta | Rel. int. |
| --- | --- | --- |
| 0 0 1 | 16.43 | 24 |
| 1 2 -1 | 32.47 | 100 |
| 1 2 1 | 32.97 | 96 |
| 2 0 0 | 33.22 | 94 |
| 0 4 0 | 46.21 | 24 |
| 2 4 0 | 58.09 | 44 |
| 1 2 -3 | 58.55 | 46 |
| 1 2 3 | 59.52 | 43 |

Atomic structure:
Unit cell a=5.3909 b=7.8585 c=5.4021 alpha=90.00 beta=91.68 gamma=90.00
Space group P2_1/m (No. 11)
One atom of each set of equivalent atoms:
Ta 0.0000 0.0000 0.0000 x2
Zn 0.0310 0.2500 0.5059 x2
Zn 0.4846 0.7500 0.0201 x2
Mo 0.5000 0.0000 0.5000 x2
O 0.0760 0.7500 0.1215 x2
O 0.1611 0.5661 0.6874 x4
O 0.3194 0.0674 0.1529 x4
O 0.3967 0.2500 0.6229 x2



Repeat the second record exactly.
For NaMgFeS2O8, the PBE+U geometry in the Materials Project gives the simulated XRD peak list in this record (CuKα).
Lines closer than 0.1° are merged.

Top 8 peaks for 2θ = 5–70°, sorted by position:
| h k l | 2theta | Rel. int. |
| --- | --- | --- |
| 0 0 1 | 13.88 | 35 |
| 1 0 -1 | 23.48 | 92 |
| 1 1 1 | 24.20 | 68 |
| 1 -1 0 | 30.60 | 88 |
| 0 1 2 | 33.09 | 90 |
| 1 0 -2 | 34.23 | 88 |
| 2 1 0 | 34.83 | 100 |
| 3 0 0 | 57.16 | 35 |

Atomic structure:
Unit cell a=5.2077 b=5.2107 c=6.3923 alpha=86.96 beta=87.02 gamma=68.22
Space group P1 (No. 1)
One atom of each set of equivalent atoms:
Na 0.0000 0.0000 0.0000 x1
Mg 0.3252 0.3232 0.2905 x1
Fe 0.0074 0.0073 0.5207 x1
S 0.3717 0.3726 0.7771 x1
S 0.6404 0.6417 0.2672 x1
O 0.2558 0.6770 0.7604 x1
O 0.2606 0.2621 0.6008 x1
O 0.2758 0.2769 0.9838 x1
O 0.3227 0.7294 0.2808 x1
O 0.6762 0.2565 0.7606 x1
O 0.7290 0.7311 0.0666 x1
O 0.7308 0.3238 0.2812 x1
O 0.7389 0.7423 0.4449 x1